1.
Structure and computed XRD peak list of Ho2CuSe3 (the GGA-PBE geometry in Alexandria; Cu Kα (weighted mean of Kα1 and Kα2)).

Atomic structure:
```
data_Ho2CuSe3
_cell_length_a 3.771
_cell_length_b 4.478
_cell_length_c 16.067
_cell_angle_alpha 90.00
_cell_angle_beta 90.00
_cell_angle_gamma 90.00
_symmetry_space_group_name_H-M 'P 1'
_symmetry_Int_Tables_number 1
loop_
_symmetry_equiv_pos_as_xyz
'x,y,z'
loop_
_atom_site_label
_atom_site_fract_x
_atom_site_fract_y
_atom_site_fract_z
Ho1 0.000 0.000 0.140
Ho2 0.000 0.000 0.860
Ho3 0.500 0.500 0.360
Ho4 0.500 0.500 0.640
Cu1 0.000 0.000 0.500
Cu2 0.500 0.500 0.000
Se1 0.000 0.000 0.322
Se2 0.000 0.000 0.678
Se3 0.000 0.500 0.500
Se4 0.500 0.000 0.000
Se5 0.500 0.500 0.178
Se6 0.500 0.500 0.822
```

Most intense lines, 10 to 90 degrees two-theta, sorted by position:
20.6°, I 27; 29.0°, I 41; 31.0°, I 100; 33.5°, I 39; 36.7°, I 40; 38.4°, I 61; 40.3°, I 44; 46.3°, I 32; 48.3°, I 26; 55.7°, I 26



2.
Structure and computed XRD peak list of HoCuSe2 (the GGA-PBE geometry in Alexandria; Cu Kα (weighted mean of Kα1 and Kα2)).

Atomic structure:
```
data_HoCuSe2
_cell_length_a 3.967
_cell_length_b 3.967
_cell_length_c 6.313
_cell_angle_alpha 90.00
_cell_angle_beta 90.00
_cell_angle_gamma 120.00
_symmetry_space_group_name_H-M 'P 1'
_symmetry_Int_Tables_number 1
loop_
_symmetry_equiv_pos_as_xyz
'x,y,z'
loop_
_atom_site_label
_atom_site_fract_x
_atom_site_fract_y
_atom_site_fract_z
Ho1 0.000 0.000 0.000
Cu1 0.000 0.000 0.500
Se1 0.333 0.667 0.729
Se2 0.667 0.333 0.271
```

Most intense lines, 10 to 90 degrees two-theta, sorted by position:
14.0°, I 10; 25.9°, I 34; 29.6°, I 63; 38.7°, I 100; 45.7°, I 49; 50.9°, I 9; 55.4°, I 11; 61.5°, I 25; 77.3°, I 18; 79.9°, I 24



3.
Structure and computed XRD peak list of Sr2HoCu2Se4 (the GGA-PBE geometry in Alexandria; Cu Kα (weighted mean of Kα1 and Kα2)).

Atomic structure:
```
data_Sr2HoCu2Se4
_cell_length_a 7.778
_cell_length_b 7.778
_cell_length_c 7.481
_cell_angle_alpha 110.25
_cell_angle_beta 110.25
_cell_angle_gamma 30.08
_symmetry_space_group_name_H-M 'P 1'
_symmetry_Int_Tables_number 1
loop_
_symmetry_equiv_pos_as_xyz
'x,y,z'
loop_
_atom_site_label
_atom_site_fract_x
_atom_site_fract_y
_atom_site_fract_z
Sr1 0.135 0.135 0.076
Sr2 0.865 0.865 0.924
Ho1 0.000 0.000 0.500
Cu1 0.313 0.313 0.505
Cu2 0.687 0.687 0.495
Se1 0.203 0.203 0.711
Se2 0.478 0.478 0.754
Se3 0.522 0.522 0.246
Se4 0.797 0.797 0.289
```

Most intense lines, 10 to 90 degrees two-theta, sorted by position:
12.7°, I 74; 29.0°, I 57; 32.4°, I 68; 32.8°, I 100; 34.2°, I 92; 34.7°, I 84; 37.3°, I 34; 43.7°, I 36; 44.9°, I 56; 49.1°, I 41



4.
Structure and computed XRD peak list of HoCuTeSe (the GGA-PBE geometry in Alexandria; Cu Kα (weighted mean of Kα1 and Kα2)).

Atomic structure:
```
data_HoCuTeSe
_cell_length_a 4.105
_cell_length_b 4.105
_cell_length_c 20.871
_cell_angle_alpha 90.00
_cell_angle_beta 90.00
_cell_angle_gamma 120.00
_symmetry_space_group_name_H-M 'P 1'
_symmetry_Int_Tables_number 1
loop_
_symmetry_equiv_pos_as_xyz
'x,y,z'
loop_
_atom_site_label
_atom_site_fract_x
_atom_site_fract_y
_atom_site_fract_z
Ho1 0.000 0.000 0.000
Ho2 0.333 0.667 0.667
Ho3 0.667 0.333 0.333
Cu1 0.000 0.000 0.548
Cu2 0.333 0.667 0.215
Cu3 0.667 0.333 0.881
Te1 0.000 0.000 0.423
Te2 0.333 0.667 0.090
Te3 0.667 0.333 0.757
Se1 0.000 0.000 0.248
Se2 0.333 0.667 0.915
Se3 0.667 0.333 0.581
```

Most intense lines, 10 to 90 degrees two-theta, sorted by position:
12.7°, I 39; 25.4°, I 32; 26.5°, I 100; 30.4°, I 78; 33.1°, I 86; 39.4°, I 91; 44.1°, I 100; 60.2°, I 34; 60.7°, I 25; 78.0°, I 35



5.
Structure and computed XRD peak list of Ho3CuSi2 (the GGA-PBE geometry in Alexandria; Cu Kα (weighted mean of Kα1 and Kα2)).

Atomic structure:
```
data_Ho3CuSi2
_cell_length_a 11.212
_cell_length_b 4.151
_cell_length_c 11.302
_cell_angle_alpha 90.00
_cell_angle_beta 90.00
_cell_angle_gamma 90.00
_symmetry_space_group_name_H-M 'P 1'
_symmetry_Int_Tables_number 1
loop_
_symmetry_equiv_pos_as_xyz
'x,y,z'
loop_
_atom_site_label
_atom_site_fract_x
_atom_site_fract_y
_atom_site_fract_z
Ho1 0.059 0.250 0.122
Ho2 0.122 0.750 0.563
Ho3 0.208 0.250 0.804
Ho4 0.292 0.750 0.304
Ho5 0.378 0.250 0.063
Ho6 0.441 0.750 0.622
Ho7 0.559 0.250 0.378
Ho8 0.622 0.750 0.937
Ho9 0.708 0.250 0.696
Ho10 0.792 0.750 0.196
Ho11 0.878 0.250 0.437
Ho12 0.941 0.750 0.878
Cu1 0.132 0.250 0.364
Cu2 0.368 0.750 0.864
Cu3 0.632 0.250 0.136
Cu4 0.868 0.750 0.636
Si1 0.024 0.750 0.315
Si2 0.192 0.750 0.995
Si3 0.308 0.250 0.495
Si4 0.476 0.250 0.815
Si5 0.524 0.750 0.185
Si6 0.692 0.750 0.505
Si7 0.808 0.250 0.005
Si8 0.976 0.250 0.685
```

Most intense lines, 10 to 90 degrees two-theta, sorted by position:
24.2°, I 47; 27.9°, I 61; 28.6°, I 51; 31.1°, I 50; 32.1°, I 100; 32.7°, I 47; 32.9°, I 34; 33.2°, I 31; 36.0°, I 76; 43.6°, I 49



6.
Structure and computed XRD peak list of HoCu9Si2 (the GGA-PBE geometry in Alexandria; Cu Kα (weighted mean of Kα1 and Kα2)).

Atomic structure:
```
data_HoCu9Si2
_cell_length_a 7.787
_cell_length_b 7.787
_cell_length_c 7.787
_cell_angle_alpha 99.78
_cell_angle_beta 99.78
_cell_angle_gamma 131.33
_symmetry_space_group_name_H-M 'P 1'
_symmetry_Int_Tables_number 1
loop_
_symmetry_equiv_pos_as_xyz
'x,y,z'
loop_
_atom_site_label
_atom_site_fract_x
_atom_site_fract_y
_atom_site_fract_z
Ho1 0.375 0.625 0.750
Ho2 0.625 0.375 0.250
Cu1 0.125 0.875 0.250
Cu2 0.139 0.562 0.332
Cu3 0.139 0.807 0.577
Cu4 0.193 0.270 0.332
Cu5 0.193 0.861 0.923
Cu6 0.270 0.193 0.832
Cu7 0.270 0.438 0.077
Cu8 0.438 0.270 0.577
Cu9 0.438 0.861 0.168
Cu10 0.562 0.139 0.832
Cu11 0.562 0.730 0.423
Cu12 0.730 0.562 0.923
Cu13 0.730 0.807 0.168
Cu14 0.807 0.139 0.077
Cu15 0.807 0.730 0.668
Cu16 0.861 0.193 0.423
Cu17 0.861 0.438 0.668
Cu18 0.875 0.125 0.750
Si1 0.000 0.000 0.000
Si2 0.000 0.000 0.500
Si3 0.000 0.500 0.000
Si4 0.500 0.000 0.500
```

Most intense lines, 10 to 90 degrees two-theta, sorted by position:
30.1°, I 18; 30.6°, I 16; 35.1°, I 26; 40.0°, I 100; 40.2°, I 74; 43.2°, I 26; 45.9°, I 16; 47.5°, I 32; 49.6°, I 16; 72.9°, I 28



7.
Structure and computed XRD peak list of Sm2HoCu2 (the GGA-PBE geometry in Alexandria; Cu Kα (weighted mean of Kα1 and Kα2)).

Atomic structure:
```
data_Sm2HoCu2
_cell_length_a 6.324
_cell_length_b 6.324
_cell_length_c 10.281
_cell_angle_alpha 118.32
_cell_angle_beta 118.32
_cell_angle_gamma 43.23
_symmetry_space_group_name_H-M 'P 1'
_symmetry_Int_Tables_number 1
loop_
_symmetry_equiv_pos_as_xyz
'x,y,z'
loop_
_atom_site_label
_atom_site_fract_x
_atom_site_fract_y
_atom_site_fract_z
Sm1 0.037 0.037 0.192
Sm2 0.181 0.181 0.591
Sm3 0.819 0.819 0.409
Sm4 0.963 0.963 0.808
Ho1 0.307 0.307 0.148
Ho2 0.693 0.693 0.852
Cu1 0.375 0.375 0.928
Cu2 0.450 0.450 0.586
Cu3 0.550 0.550 0.414
Cu4 0.625 0.625 0.072
```

Most intense lines, 10 to 90 degrees two-theta, sorted by position:
30.0°, I 79; 30.5°, I 34; 31.5°, I 39; 32.3°, I 100; 33.1°, I 42; 34.3°, I 78; 38.0°, I 26; 38.3°, I 42; 38.7°, I 69; 57.5°, I 31



8.
Structure and computed XRD peak list of SmHo3Cu2 (the GGA-PBE geometry in Alexandria; Cu Kα (weighted mean of Kα1 and Kα2)).

Atomic structure:
```
data_SmHo3Cu2
_cell_length_a 3.479
_cell_length_b 3.479
_cell_length_c 12.143
_cell_angle_alpha 90.00
_cell_angle_beta 90.00
_cell_angle_gamma 90.00
_symmetry_space_group_name_H-M 'P 1'
_symmetry_Int_Tables_number 1
loop_
_symmetry_equiv_pos_as_xyz
'x,y,z'
loop_
_atom_site_label
_atom_site_fract_x
_atom_site_fract_y
_atom_site_fract_z
Sm1 0.000 0.000 0.000
Ho1 0.500 0.500 0.220
Ho2 0.500 0.500 0.500
Ho3 0.500 0.500 0.780
Cu1 0.000 0.000 0.358
Cu2 0.000 0.000 0.642
```

Most intense lines, 10 to 90 degrees two-theta, sorted by position:
26.7°, I 13; 29.4°, I 17; 29.6°, I 26; 34.0°, I 100; 36.5°, I 66; 39.4°, I 25; 47.6°, I 19; 52.6°, I 23; 61.5°, I 16; 64.1°, I 31



9.
Structure and computed XRD peak list of Sm2HoCu3 (the GGA-PBE geometry in Alexandria; Cu Kα (weighted mean of Kα1 and Kα2)).

Atomic structure:
```
data_Sm2HoCu3
_cell_length_a 3.504
_cell_length_b 3.504
_cell_length_c 10.589
_cell_angle_alpha 90.00
_cell_angle_beta 90.00
_cell_angle_gamma 90.00
_symmetry_space_group_name_H-M 'P 1'
_symmetry_Int_Tables_number 1
loop_
_symmetry_equiv_pos_as_xyz
'x,y,z'
loop_
_atom_site_label
_atom_site_fract_x
_atom_site_fract_y
_atom_site_fract_z
Sm1 0.000 0.000 0.170
Sm2 0.000 0.000 0.830
Ho1 0.000 0.000 0.500
Cu1 0.500 0.500 0.000
Cu2 0.500 0.500 0.344
Cu3 0.500 0.500 0.656
```

Most intense lines, 10 to 90 degrees two-theta, sorted by position:
25.2°, I 9; 25.4°, I 18; 36.1°, I 100; 36.3°, I 50; 51.8°, I 9; 52.2°, I 17; 64.9°, I 17; 65.1°, I 35; 76.6°, I 10; 88.1°, I 15



10.
Structure and computed XRD peak list of Ho8Cu2Sn (the GGA-PBE geometry in Alexandria; Cu Kα (weighted mean of Kα1 and Kα2)).

Atomic structure:
```
data_Ho8Cu2Sn
_cell_length_a 7.999
_cell_length_b 7.999
_cell_length_c 5.312
_cell_angle_alpha 98.50
_cell_angle_beta 98.50
_cell_angle_gamma 114.05
_symmetry_space_group_name_H-M 'P 1'
_symmetry_Int_Tables_number 1
loop_
_symmetry_equiv_pos_as_xyz
'x,y,z'
loop_
_atom_site_label
_atom_site_fract_x
_atom_site_fract_y
_atom_site_fract_z
Ho1 0.080 0.330 0.591
Ho2 0.242 0.758 0.000
Ho3 0.330 0.080 0.591
Ho4 0.393 0.393 0.196
Ho5 0.607 0.607 0.804
Ho6 0.670 0.920 0.409
Ho7 0.758 0.242 0.000
Ho8 0.920 0.670 0.409
Cu1 0.308 0.692 0.500
Cu2 0.692 0.308 0.500
Sn1 0.000 0.000 0.000
```

Most intense lines, 10 to 90 degrees two-theta, sorted by position:
26.7°, I 22; 31.0°, I 75; 31.9°, I 100; 32.8°, I 76; 34.2°, I 83; 34.4°, I 53; 38.0°, I 60; 54.2°, I 25; 59.5°, I 24; 64.3°, I 27



11.
Structure and computed XRD peak list of Tb4HoCu (the GGA-PBE geometry in Alexandria; Cu Kα (weighted mean of Kα1 and Kα2)).

Atomic structure:
```
data_Tb4HoCu
_cell_length_a 3.517
_cell_length_b 3.517
_cell_length_c 13.725
_cell_angle_alpha 90.00
_cell_angle_beta 90.00
_cell_angle_gamma 90.00
_symmetry_space_group_name_H-M 'P 1'
_symmetry_Int_Tables_number 1
loop_
_symmetry_equiv_pos_as_xyz
'x,y,z'
loop_
_atom_site_label
_atom_site_fract_x
_atom_site_fract_y
_atom_site_fract_z
Tb1 0.000 0.000 0.125
Tb2 0.000 0.000 0.875
Tb3 0.500 0.500 0.317
Tb4 0.500 0.500 0.683
Ho1 0.000 0.000 0.500
Cu1 0.500 0.500 0.000
```

Most intense lines, 10 to 90 degrees two-theta, sorted by position:
28.5°, I 21; 32.1°, I 100; 32.6°, I 14; 36.1°, I 47; 49.5°, I 18; 52.0°, I 17; 54.5°, I 10; 60.0°, I 16; 62.4°, I 30; 83.4°, I 12



12.
Structure and computed XRD peak list of Ho7Cu2Te2 (the GGA-PBE geometry in Alexandria; Cu Kα (weighted mean of Kα1 and Kα2)).

Atomic structure:
```
data_Ho7Cu2Te2
_cell_length_a 9.318
_cell_length_b 9.318
_cell_length_c 9.318
_cell_angle_alpha 155.51
_cell_angle_beta 67.57
_cell_angle_gamma 118.13
_symmetry_space_group_name_H-M 'P 1'
_symmetry_Int_Tables_number 1
loop_
_symmetry_equiv_pos_as_xyz
'x,y,z'
loop_
_atom_site_label
_atom_site_fract_x
_atom_site_fract_y
_atom_site_fract_z
Ho1 0.000 0.000 0.000
Ho2 0.284 0.413 0.870
Ho3 0.304 0.619 0.686
Ho4 0.543 0.413 0.130
Ho5 0.619 0.262 0.357
Ho6 0.905 0.262 0.643
Ho7 0.933 0.619 0.314
Cu1 0.160 0.923 0.236
Cu2 0.687 0.923 0.764
Te1 0.262 0.762 0.500
Te2 0.660 0.660 0.000
```

Most intense lines, 10 to 90 degrees two-theta, sorted by position:
28.4°, I 21; 29.9°, I 52; 30.3°, I 23; 33.0°, I 68; 33.7°, I 100; 34.2°, I 51; 36.2°, I 20; 45.9°, I 30; 51.0°, I 24; 57.7°, I 32